# 1
Diffraction record for YCdPtO6. The powder XRD pattern is calculated, not measured: it uses a DFT-relaxed cell (PBE, Alexandria) and CuKα.
No peak broadening, texture or thermal motion is included.

```
YCdPtO6
1.0
5.6378 0.0000 0.0000
-2.8189 4.8825 0.0000
0.0000 0.0000 8.8412
Y Cd Pt O
2 2 2 12
Direct
0.3333 0.6667 0.2500
0.6667 0.3333 0.7500
0.0000 0.0000 0.0000
0.0000 0.0000 0.5000
0.3333 0.6667 0.7500
0.6667 0.3333 0.2500
0.0395 0.3807 0.6264
0.0395 0.6588 0.8736
0.3412 0.3807 0.8736
0.3412 0.9605 0.6264
0.3807 0.0395 0.1264
0.3807 0.3412 0.3736
0.6193 0.6588 0.6264
0.6193 0.9605 0.8736
0.6588 0.0395 0.3736
0.6588 0.6193 0.1264
0.9605 0.3412 0.1264
0.9605 0.6193 0.3736
```

Main lines, by angle (5 to 70 degrees two-theta):
d/Å  I (rel.)
4.421  15.1
4.274  26.4
3.277  100.0
2.819  62.5
2.377  21.5
2.137  30.2
1.739  46.2
1.703  29.6
1.627  20.8
1.410  15.8

***

# 2
Diffraction record for Pu4CdO12. The powder XRD pattern is calculated, not measured: it uses a DFT-relaxed cell (PBE, Alexandria) and CuKα.
No peak broadening, texture or thermal motion is included.

```
Pu4CdO12
1.0
-4.0624 4.0862 4.1326
4.0624 -4.0862 4.1326
4.0624 4.0862 -4.1326
Pu Cd O
4 1 12
Direct
0.0000 0.0000 0.5000
0.0000 0.5000 0.0000
0.5000 0.0000 0.0000
0.5000 0.5000 0.5000
0.0000 0.0000 0.0000
0.0092 0.2872 0.7220
0.2018 0.1955 0.3974
0.2018 0.8045 0.0063
0.2870 0.0652 0.7781
0.2870 0.5089 0.2219
0.4349 0.7128 0.7220
0.5651 0.2872 0.2780
0.7130 0.4911 0.7781
0.7130 0.9348 0.2219
0.7982 0.1955 0.9937
0.7982 0.8045 0.6026
0.9908 0.7128 0.2780
```

Main lines, by angle (5 to 70 degrees two-theta):
d/Å  I (rel.)
4.133  47.0
4.086  45.6
4.062  44.6
2.901  100.0
2.881  46.5
2.363  26.3
1.843  21.3
1.679  22.0
1.670  22.4
1.665  22.5

***

# 3
Diffraction record for Pu2CdO. The powder XRD pattern is calculated, not measured: it uses a DFT-relaxed cell (PBE, Alexandria) and CuKα.
No peak broadening, texture or thermal motion is included.

```
Pu2CdO
1.0
1.6756 0.9674 9.5894
-1.6756 0.9674 9.5894
0.0000 -1.9348 9.5894
Pu Cd O
2 1 1
Direct
0.1144 0.1144 0.1144
0.8856 0.8856 0.8856
0.0000 0.0000 0.0000
0.5000 0.5000 0.5000
```

Main lines, by angle (5 to 70 degrees two-theta):
d/Å  I (rel.)
9.589  64.4
3.196  66.5
2.888  100.0
2.691  41.5
2.591  38.4
2.258  71.6
2.043  33.0
1.676  42.7
1.484  43.0
1.462  19.0